For CeY2Ru, a crystal structure in Alexandria, relaxed with GGA-PBE gives the computed PXRD pattern in this record (Cu Kα (weighted mean of Kα1 and Kα2)).
Lines closer than 0.1° are merged.

Cell and atoms:
abc: 7.1252 9.6368 6.3664
angles: 90.00 90.00 90.00
Fractional coordinates of all 16 atoms:
Ce1 0.0532 0.2500 0.1504
Ce2 0.4468 0.7500 0.6504
Ce3 0.5532 0.2500 0.3496
Ce4 0.9468 0.7500 0.8496
Y1 0.1722 0.0652 0.6720
Y2 0.1722 0.4348 0.6720
Y3 0.3278 0.5652 0.1720
Y4 0.3278 0.9348 0.1720
Y5 0.6722 0.0652 0.8280
Y6 0.6722 0.4348 0.8280
Y7 0.8278 0.5652 0.3280
Y8 0.8278 0.9348 0.3280
Ru1 0.1363 0.7500 0.4898
Ru2 0.3637 0.2500 0.9898
Ru3 0.6363 0.7500 0.0102
Ru4 0.8637 0.2500 0.5102

Most intense lines, 10 to 80 degrees two-theta, in order of rising 2θ:
20.86 deg, d = 4.259 Å, intensity 33, (1 1 1)
30.21 deg, d = 2.959 Å, intensity 37, (2 1 1)
30.76 deg, d = 2.906 Å, intensity 31, (1 0 2)
31.20 deg, d = 2.867 Å, intensity 100, (0 3 1)
32.17 deg, d = 2.783 Å, intensity 52, (1 1 2)
33.70 deg, d = 2.660 Å, intensity 68, (1 3 1)
34.33 deg, d = 2.612 Å, intensity 46, (2 2 1)
39.08 deg, d = 2.305 Å, intensity 30, (2 1 2)
48.59 deg, d = 1.874 Å, intensity 38, (1 2 3)
57.37 deg, d = 1.606 Å, intensity 28, (0 6 0)